Tl2GeAuS4: simulated powder XRD pattern (Cu Kα), based on a cell relaxed with PBE.
Neutral-atom scattering factors, no anomalous dispersion.

Largest 6 diffraction maxima, by angle, 10 to 90 degrees two-theta:
Position (°2θ)  I/Imax
24.34  58
28.94  100
34.69  35
45.79  61
53.90  21
56.24  17

Cell: 6.4437 6.4437 7.3117 Å, 124.57 124.57 73.23°
Sites, in units of the cell vectors:
Tl 0.0000 0.0000 0.0000
Tl 0.7505 0.2495 0.5000
Ge 0.2503 0.7497 0.5000
Au 0.4993 0.5007 0.0000
S 0.2516 0.4396 0.1333
S 0.3069 0.1174 0.5577
S 0.5604 0.7484 0.8667
S 0.8826 0.6931 0.4423

GeSbAu4: simulated powder XRD pattern (Cu Kα), based on a cell relaxed with PBE.
Neutral-atom scattering factors, no anomalous dispersion.

Largest 6 diffraction maxima, by angle, 10 to 90 degrees two-theta:
Position (°2θ)  I/Imax
28.58  46
36.30  100
39.94  47
40.50  65
44.40  24
49.85  26

Cell: 5.8198 6.2456 7.1523 Å, 90.00 90.00 90.00°
Sites, in units of the cell vectors:
Ge 0.0000 0.1925 0.0000
Ge 0.5000 0.8075 0.5000
Sb 0.0000 0.6022 0.5002
Sb 0.5000 0.3978 0.0002
Au 0.0000 0.1902 0.3560
Au 0.0000 0.8081 0.8440
Au 0.2442 0.7908 0.1977
Au 0.2558 0.2092 0.6977
Au 0.5000 0.1919 0.3440
Au 0.5000 0.8098 0.8560
Au 0.7442 0.2092 0.6977
Au 0.7558 0.7908 0.1977